1.
K3Zr2SO6F9: theoretical powder diffraction line list (Cu Kα (λ = 1.5418 Å)), based on a cell relaxed with PBE.
Intensities are scaled so that the largest is 100.

Cell and atoms:
Cell: 11.951 10.621 11.974 Å, 90.00 118.51 90.00°
Space group C2/m (No. 12)
Inequivalent atoms, fractional coordinates:
K 0.000 0.201 0.000 x4
K 0.168 0.500 0.661 x4
K 0.178 0.500 0.277 x4
Zr 0.062 0.173 0.387 x8
S 0.210 0.500 0.003 x4
O 0.092 0.224 0.807 x8
O 0.092 0.500 0.878 x4
O 0.175 0.000 0.013 x4
O 0.205 0.384 0.074 x8
F 0.034 0.361 0.389 x8
F 0.035 0.000 0.701 x4
F 0.106 0.164 0.588 x8
F 0.131 0.168 0.261 x8
F 0.182 0.000 0.464 x4
F 0.250 0.250 0.500 x4

The 10 most intense peaks (10° ≤ 2θ ≤ 80°), in order of rising 2θ:
| h k l | Position (°2θ) | I (rel.) |
| --- | --- | --- |
| 1 1 0 | 11.85 | 42.7 |
| 2 0 0 | 16.87 | 33.3 |
| 2 0 -2 | 17.25 | 31.8 |
| 2 0 1 | 22.24 | 40.1 |
| 2 2 0 | 23.82 | 80.7 |
| 0 0 3 | 25.39 | 40.9 |
| 1 3 0 | 26.57 | 100.0 |
| 3 1 -3 | 27.35 | 36.1 |
| 2 2 -3 | 28.39 | 48.9 |
| 3 3 2 | 45.27 | 31.7 |

=====

2.
LiTm2Co: theoretical powder diffraction line list (Cu Kα (λ = 1.5418 Å)), based on a cell relaxed with PBE.
Intensities are scaled so that the largest is 100.

Cell and atoms:
Cell: 6.776 6.776 6.776 Å, 90.00 90.00 90.00°
Space group Fm-3m (No. 225)
Inequivalent atoms, fractional coordinates:
Li 0.000 0.000 0.000 x4
Tm 0.250 0.250 0.250 x8
Co 0.000 0.000 0.500 x4

The 10 most intense peaks (10° ≤ 2θ ≤ 80°), in order of rising 2θ:
| h k l | Position (°2θ) | I (rel.) |
| --- | --- | --- |
| 1 1 1 | 22.73 | 5.0 |
| 2 0 0 | 26.31 | 55.6 |
| 2 2 0 | 37.54 | 100.0 |
| 3 1 1 | 44.34 | 2.4 |
| 2 2 2 | 46.42 | 16.5 |
| 4 0 0 | 54.14 | 17.3 |
| 3 3 1 | 59.46 | 0.9 |
| 4 2 0 | 61.17 | 22.2 |
| 4 2 2 | 67.75 | 35.0 |
| 5 1 1 | 72.48 | 0.7 |

=====

3.
Te2MoWS2: theoretical powder diffraction line list (Cu Kα (λ = 1.5418 Å)), based on a cell relaxed with PBE.
Intensities are scaled so that the largest is 100.

Cell and atoms:
Cell: 3.3648 3.3648 39.7822 Å, 90.00 90.00 120.00°
Space group P3m1 (No. 156)
Inequivalent atoms, fractional coordinates:
Te 0.0000 0.0000 0.0000 x1
Te 0.0000 0.0000 0.0954 x1
Te 0.3333 0.6667 0.8086 x1
Te 0.3333 0.6667 0.9041 x1
Mo 0.0000 0.0000 0.4824 x1
Mo 0.3333 0.6667 0.6701 x1
W 0.0000 0.0000 0.8563 x1
W 0.3333 0.6667 0.0477 x1
S 0.0000 0.0000 0.6320 x1
S 0.0000 0.0000 0.7081 x1
S 0.3333 0.6667 0.4444 x1
S 0.3333 0.6667 0.5204 x1

The 10 most intense peaks (10° ≤ 2θ ≤ 80°), in order of rising 2θ:
| h k l | Position (°2θ) | I (rel.) |
| --- | --- | --- |
| 0 0 5 | 11.12 | 100.0 |
| 0 0 6 | 13.35 | 16.3 |
| 1 0 0 | 30.71 | 39.8 |
| 0 1 7 | 34.59 | 16.4 |
| 1 0 8 | 35.71 | 72.9 |
| 0 1 9 | 36.95 | 16.8 |
| 0 1 13 | 42.85 | 45.6 |
| 1 0 14 | 44.54 | 14.0 |
| 1 1 0 | 54.56 | 30.2 |
| 1 1 21 | 75.59 | 13.5 |

=====

4.
Pr2Co5Cu5: theoretical powder diffraction line list (Cu Kα (λ = 1.5418 Å)), based on a cell relaxed with PBE.
Intensities are scaled so that the largest is 100.

Cell and atoms:
Cell: 4.056 5.115 8.659 Å, 90.00 90.00 90.00°
Space group Pmmm (No. 47)
Inequivalent atoms, fractional coordinates:
Pr 0.000 0.000 0.000 x1
Pr 0.000 0.500 0.500 x1
Co 0.000 0.000 0.338 x2
Co 0.000 0.500 0.150 x2
Co 0.500 0.500 0.000 x1
Cu 0.500 0.000 0.500 x1
Cu 0.500 0.250 0.248 x4

The 10 most intense peaks (10° ≤ 2θ ≤ 80°), in order of rising 2θ:
| h k l | Position (°2θ) | I (rel.) |
| --- | --- | --- |
| 1 1 1 | 29.95 | 45.8 |
| 1 0 2 | 30.19 | 32.9 |
| 0 1 3 | 35.72 | 29.1 |
| 0 2 2 | 40.99 | 45.6 |
| 1 2 0 | 41.75 | 71.6 |
| 1 1 3 | 42.30 | 100.0 |
| 2 0 0 | 44.68 | 43.5 |
| 2 2 2 | 62.23 | 25.3 |
| 1 3 3 | 67.91 | 22.9 |
| 0 2 6 | 75.67 | 15.7 |

=====

5.
Eu3B2O6: theoretical powder diffraction line list (Cu Kα (λ = 1.5418 Å)), based on a cell relaxed with PBE.
Intensities are scaled so that the largest is 100.

Cell and atoms:
Cell: 9.0576 9.0576 12.7585 Å, 90.00 90.00 120.00°
Space group R-3c (No. 167, hexagonal axes)
Inequivalent atoms, fractional coordinates:
Eu 0.0000 0.3492 0.2500 x18
B 0.0000 0.0000 0.1158 x12
O 0.0063 0.1572 0.3858 x36

The 10 most intense peaks (10° ≤ 2θ ≤ 80°), in order of rising 2θ:
| h k l | Position (°2θ) | I (rel.) |
| --- | --- | --- |
| 1 1 0 | 19.60 | 28.7 |
| 1 1 3 | 28.80 | 100.0 |
| 3 0 0 | 34.30 | 42.3 |
| 2 2 0 | 39.81 | 9.6 |
| 0 0 6 | 42.51 | 10.5 |
| 2 2 3 | 45.37 | 41.6 |
| 3 0 6 | 55.72 | 21.9 |
| 1 4 3 | 58.09 | 23.6 |
| 1 1 9 | 69.48 | 9.2 |
| 5 2 3 | 79.58 | 9.4 |

=====

6.
HoGa3Ru: theoretical powder diffraction line list (Cu Kα (λ = 1.5418 Å)), based on a cell relaxed with PBE.
Intensities are scaled so that the largest is 100.

Cell and atoms:
Cell: 6.415 6.415 6.415 Å, 90.00 90.00 90.00°
Space group Pm-3m (No. 221)
Inequivalent atoms, fractional coordinates:
Ho 0.000 0.000 0.500 x3
Ga 0.000 0.000 0.000 x1
Ga 0.289 0.289 0.289 x8
Ru 0.000 0.500 0.500 x3

The 10 most intense peaks (10° ≤ 2θ ≤ 80°), in order of rising 2θ:
| h k l | Position (°2θ) | I (rel.) |
| --- | --- | --- |
| 1 1 0 | 19.57 | 8.7 |
| 2 0 0 | 27.82 | 9.1 |
| 2 1 0 | 31.18 | 14.6 |
| 2 1 1 | 34.24 | 8.4 |
| 2 2 0 | 39.74 | 100.0 |
| 3 1 0 | 44.67 | 6.7 |
| 4 0 0 | 57.47 | 13.7 |
| 3 2 2 | 59.41 | 6.7 |
| 4 2 0 | 65.02 | 9.0 |
| 4 2 2 | 72.14 | 24.2 |